No. 1
Starting from a cell relaxed with PBE, the powder diffractogram of Rb3Ge was calculated for Cu Kα (λ = 1.5418 Å).
Lines closer than 0.1° are merged.

Atomic structure:
```
data_Rb3Ge
_symmetry_space_group_name_H-M 'P 63/m m c'
_symmetry_Int_Tables_number 194
_symmetry_space_group_name_Hall '-P 6c 2c'
_cell_length_a 8.7279
_cell_length_b 8.7279
_cell_length_c 6.3836
_cell_angle_alpha 90.00
_cell_angle_beta 90.00
_cell_angle_gamma 120.00
loop_
_atom_site_label
_atom_site_type_symbol
_atom_site_fract_x
_atom_site_fract_y
_atom_site_fract_z
Rb1 Rb 0.1856 0.3712 0.2500
Ge1 Ge 0.3333 0.6667 0.7500
```

Top 10 peaks for 10° ≤ 2θ ≤ 90°, low angle first:
h k l	Position (°2θ)	I/Imax
2 0 0	23.54	24.9
2 0 1	27.43	100.0
0 0 2	27.95	23.2
2 0 2	36.86	15.3
3 0 1	38.41	7.2
2 2 0	41.38	18.0
2 0 3	49.14	19.4
4 0 1	50.36	14.3
2 2 2	50.68	19.8
4 2 1	67.16	9.2



No. 2
Starting from a cell relaxed with PBE, the powder diffractogram of Rb3Ge was calculated for Cu Kα (λ = 1.5418 Å).
Lines closer than 0.1° are merged.

Atomic structure:
```
data_Rb3Ge
_symmetry_space_group_name_H-M 'I 4/m m m'
_symmetry_Int_Tables_number 139
_symmetry_space_group_name_Hall '-I 4 2'
_cell_length_a 6.256
_cell_length_b 6.256
_cell_length_c 9.660
_cell_angle_alpha 90.00
_cell_angle_beta 90.00
_cell_angle_gamma 90.00
loop_
_atom_site_label
_atom_site_type_symbol
_atom_site_fract_x
_atom_site_fract_y
_atom_site_fract_z
Rb1 Rb 0.000 0.000 0.000
Rb2 Rb 0.000 0.500 0.250
Ge1 Ge 0.000 0.000 0.500
```

Top 10 peaks for 10° ≤ 2θ ≤ 90°, low angle first:
h k l	Position (°2θ)	I/Imax
1 1 2	27.34	100.0
2 0 0	28.54	44.7
0 0 4	37.23	10.9
2 2 0	40.80	16.7
2 0 4	47.57	21.2
3 1 2	49.81	37.0
2 2 4	56.41	12.7
1 1 6	61.27	9.9
3 1 6	76.25	10.4
4 2 4	79.12	9.5